BaNaTcN3: theoretical X-ray diffraction stick pattern (Cu Ka), based on a crystal structure in Alexandria, relaxed with GGA-PBE.
Intensities are scaled so that the largest is 100.

Crystal structure
```
BaNaTcN3
1.0
3.0038 -5.5982 0.0000
3.0038 5.5982 0.0000
-1.0739 0.0000 5.5968
Ba Na Tc N
2 2 2 6
direct
0.2399 0.7601 0.7500
0.7601 0.2399 0.2500
0.0670 0.9330 0.2500
0.9330 0.0670 0.7500
0.4487 0.5513 0.2500
0.5513 0.4487 0.7500
0.2531 0.3358 0.5221
0.2866 0.7134 0.2500
0.3358 0.2531 0.0221
0.6642 0.7469 0.9779
0.7134 0.2866 0.7500
0.7469 0.6642 0.4779
```

Most intense lines, 2θ = 10–90°, sorted by position:
d [Å]  I (rel.)
5.220  57.4
4.181  37.1
2.950  70.7
2.874  90.8
2.799  90.5
2.637  100.0
2.253  46.7
1.864  33.8

=====

K2Sn5Bi: theoretical X-ray diffraction stick pattern (Cu Ka), based on a crystal structure in Alexandria, relaxed with GGA-PBE.
Intensities are scaled so that the largest is 100.

Crystal structure
```
K2Sn5Bi
1.0
9.7745 0.0000 0.0000
0.0000 11.8442 0.0000
-4.5987 0.0000 4.8834
K Sn Bi
4 10 2
direct
0.0000 0.0000 0.0000
0.0000 0.5002 0.0000
0.5000 0.0002 0.0000
0.5000 0.5000 0.0000
0.0000 0.1214 0.5000
0.2127 0.7471 0.4899
0.2130 0.7473 0.9359
0.2870 0.2473 0.0641
0.2873 0.2471 0.5101
0.5000 0.6214 0.5000
0.7127 0.2471 0.4899
0.7130 0.2473 0.9359
0.7870 0.7473 0.0641
0.7873 0.7471 0.5101
0.0000 0.3852 0.5000
0.5000 0.8852 0.5000
```

Most intense lines, 2θ = 10–90°, sorted by position:
d [Å]  I (rel.)
5.922  91.5
4.881  56.9
3.050  84.6
2.939  54.6
2.918  81.8
2.441  100.0
2.276  56.1
2.220  56.1

=====

Repeat the second record exactly.
K2Sn5Bi: theoretical X-ray diffraction stick pattern (Cu Ka), based on a crystal structure in Alexandria, relaxed with GGA-PBE.
Intensities are scaled so that the largest is 100.

Crystal structure
```
K2Sn5Bi
1.0
9.7745 0.0000 0.0000
0.0000 11.8442 0.0000
-4.5987 0.0000 4.8834
K Sn Bi
4 10 2
direct
0.0000 0.0000 0.0000
0.0000 0.5002 0.0000
0.5000 0.0002 0.0000
0.5000 0.5000 0.0000
0.0000 0.1214 0.5000
0.2127 0.7471 0.4899
0.2130 0.7473 0.9359
0.2870 0.2473 0.0641
0.2873 0.2471 0.5101
0.5000 0.6214 0.5000
0.7127 0.2471 0.4899
0.7130 0.2473 0.9359
0.7870 0.7473 0.0641
0.7873 0.7471 0.5101
0.0000 0.3852 0.5000
0.5000 0.8852 0.5000
```

Most intense lines, 2θ = 10–90°, sorted by position:
d [Å]  I (rel.)
5.922  91.5
4.881  56.9
3.050  84.6
2.939  54.6
2.918  81.8
2.441  100.0
2.276  56.1
2.220  56.1